Record 1
For CsReP2O8, a cell relaxed with PBE gives the calculated powder XRD pattern in this record (CuKα).

Most intense lines, 10° ≤ 2θ ≤ 80°, by angle:
- 2θ = 19.17°, I = 22, (0 0 6)
- 2θ = 21.50°, I = 33, (0 1 2)
- 2θ = 24.23°, I = 100, (1 0 4)
- 2θ = 33.07°, I = 27, (0 1 8)
- 2θ = 35.93°, I = 28, (1 1 0)
- 2θ = 38.50°, I = 18, (1 0 10)
- 2θ = 41.04°, I = 21, (1 1 6)
- 2θ = 43.81°, I = 14, (0 2 4)
- 2θ = 53.99°, I = 14, (1 1 12)
- 2θ = 57.90°, I = 16, (3 -1 4)

Atomic structure:
Lattice parameters (Å, degrees): 4.9990 4.9990 27.7822 90.00 90.00 120.00
Space group R-3 (No. 148, hexagonal axes)
Unique sites:
Cs 0.0000 0.0000 0.0000 x3
Re 0.0000 0.0000 0.5000 x3
P 0.0000 0.0000 0.2288 x6
O 0.0000 0.0000 0.2826 x6
O 0.0171 0.6090 0.8745 x18

=====

Record 2
For Tb2SmDy12, a cell relaxed with PBE gives the calculated powder XRD pattern in this record (CuKα).

Most intense lines, 10° ≤ 2θ ≤ 80°, by angle:
- 2θ = 30.34°, I = 100, (0 2 7)
- 2θ = 31.25°, I = 46, (2 2 2)
- 2θ = 32.08°, I = 69, (0 4 0)
- 2θ = 32.36°, I = 37, (2 0 -6)
- 2θ = 32.56°, I = 67, (2 2 -4)
- 2θ = 33.61°, I = 35, (0 2 8)
- 2θ = 46.21°, I = 28, (2 4 -6)
- 2θ = 59.99°, I = 22, (2 2 13)
- 2θ = 60.93°, I = 20, (4 2 -8)
- 2θ = 61.96°, I = 21, (4 4 -1)

Atomic structure:
Lattice parameters (Å, degrees): 7.0997 11.1609 24.3445 90.00 94.16 90.00
Space group C2/m (No. 12)
Unique sites:
Tb 0.0667 0.0000 0.2722 x4
Tb 0.0678 0.5000 0.2723 x4
Sm 0.2502 0.0000 0.0003 x4
Dy 0.0174 0.2499 0.0744 x8
Dy 0.1118 0.2505 0.4448 x8
Dy 0.1426 0.0000 0.5743 x4
Dy 0.1434 0.5000 0.5736 x4
Dy 0.1679 0.2505 0.6697 x8
Dy 0.2007 0.2494 0.7983 x8
Dy 0.2169 0.0000 0.8626 x4
Dy 0.2166 0.5000 0.8620 x4

=====

Record 3
For Ba2Li3TlHg4, a cell relaxed with PBE gives the calculated powder XRD pattern in this record (CuKα).

Most intense lines, 10° ≤ 2θ ≤ 80°, by angle:
- 2θ = 23.66°, I = 31, (1 0 2)
- 2θ = 26.82°, I = 19, (1 1 1)
- 2θ = 29.22°, I = 15, (1 0 3)
- 2θ = 29.95°, I = 100, (1 1 2)
- 2θ = 36.67°, I = 46, (2 0 0)
- 2θ = 40.29°, I = 17, (1 1 4)
- 2θ = 42.73°, I = 16, (1 0 5)
- 2θ = 52.83°, I = 16, (2 2 0)
- 2θ = 57.54°, I = 14, (2 1 5)
- 2θ = 61.92°, I = 26, (3 1 2)

Atomic structure:
Lattice parameters (Å, degrees): 4.9014 4.9014 11.7302 90.00 90.00 90.00
Space group P-4m2 (No. 115)
Unique sites:
Ba 0.0000 0.5000 0.2407 x2
Li 0.0000 0.5000 0.8945 x2
Li 0.5000 0.5000 0.5000 x1
Tl 0.0000 0.0000 0.5000 x1
Hg 0.0000 0.0000 0.0000 x1
Hg 0.0000 0.5000 0.6585 x2
Hg 0.5000 0.5000 0.0000 x1

=====

Record 4
For Cd3Sn3Hg, a cell relaxed with PBE gives the calculated powder XRD pattern in this record (CuKα).

Most intense lines, 10° ≤ 2θ ≤ 80°, by angle:
- 2θ = 28.87°, I = 59, (1 2 0)
- 2θ = 34.65°, I = 100, (1 2 1)
- 2θ = 37.94°, I = 25, (0 0 2)
- 2θ = 38.09°, I = 18, (3 0 1)
- 2θ = 48.38°, I = 16, (1 2 2)
- 2θ = 51.21°, I = 18, (4 1 0)
- 2θ = 63.32°, I = 14, (2 4 1)
- 2θ = 65.47°, I = 17, (4 1 2)
- 2θ = 66.42°, I = 15, (1 2 3)
- 2θ = 73.15°, I = 11, (4 2 2)

Atomic structure:
Lattice parameters (Å, degrees): 9.4396 9.4396 4.7436 90.00 90.00 120.00
Space group P6_3/m (No. 176)
Unique sites:
Cd 0.0990 0.6018 0.2500 x6
Sn 0.0311 0.2406 0.2500 x6
Hg 0.3333 0.6667 0.7500 x2

=====

Record 5
For EuHoGaCu, a cell relaxed with PBE gives the calculated powder XRD pattern in this record (CuKα).

Most intense lines, 10° ≤ 2θ ≤ 80°, by angle:
- 2θ = 24.76°, I = 17, (2 0 0)
- 2θ = 35.31°, I = 100, (2 2 0)
- 2θ = 43.61°, I = 5, (2 2 2)
- 2θ = 50.79°, I = 18, (4 0 0)
- 2θ = 57.30°, I = 7, (4 2 0)
- 2θ = 63.37°, I = 36, (4 2 2)
- 2θ = 74.68°, I = 11, (4 4 0)

Atomic structure:
Lattice parameters (Å, degrees): 7.1902 7.1902 7.1902 90.00 90.00 90.00
Space group F-43m (No. 216)
Unique sites:
Eu 0.0000 0.0000 0.0000 x4
Ho 0.0000 0.0000 0.5000 x4
Ga 0.2500 0.2500 0.2500 x4
Cu 0.2500 0.2500 0.7500 x4

=====

Record 6
For Cu2RePt, a cell relaxed with PBE gives the calculated powder XRD pattern in this record (CuKα).

Most intense lines, 10° ≤ 2θ ≤ 80°, by angle:
- 2θ = 20.46°, I = 61, (2 0 0)
- 2θ = 38.08°, I = 13, (0 0 2)
- 2θ = 39.43°, I = 24, (1 1 -1)
- 2θ = 40.59°, I = 51, (2 0 -2)
- 2θ = 40.99°, I = 100, (1 1 1)
- 2θ = 41.62°, I = 48, (4 0 0)
- 2θ = 46.47°, I = 35, (2 0 2)
- 2θ = 48.40°, I = 62, (3 1 -1)
- 2θ = 68.63°, I = 21, (1 1 -3)
- 2θ = 70.07°, I = 20, (5 1 1)

Atomic structure:
Lattice parameters (Å, degrees): 8.7828 2.6647 4.7821 90.00 98.76 90.00
Space group C2/m (No. 12)
Unique sites:
Cu 0.2485 0.0000 0.2424 x4
Re 0.0000 0.5000 0.0000 x2
Pt 0.0000 0.0000 0.5000 x2